Simulated powder diffractogram
Compound: Tm4Sb2H
Radiation: Cu Kα
Structure: a PBE-relaxed structure
Peak positions follow from Bragg's law for the DFT cell and can differ from measured ones.

Structure:
a b c (Å): 6.183 6.296 8.838
angles (deg): 90.00 107.83 90.00
Positions (direct):
1 Tm 0.040 0.001 0.304
2 Tm 0.040 0.499 0.304
3 Tm 0.349 0.750 0.055
4 Tm 0.431 0.750 0.658
5 Tm 0.569 0.250 0.342
6 Tm 0.651 0.250 0.945
7 Tm 0.960 0.501 0.696
8 Tm 0.960 0.999 0.696
9 Sb 0.195 0.250 0.026
10 Sb 0.352 0.250 0.605
11 Sb 0.648 0.750 0.395
12 Sb 0.805 0.750 0.974
13 H 0.203 0.750 0.799
14 H 0.797 0.250 0.201

Main lines, by intensity (10 to 80 degrees two-theta):
d (Å)  intensity
2.776  100
2.857  95
2.488  68
2.805  64
2.520  43
3.014  37
2.546  32
1.708  32
1.844  27
1.379  24

=====

Simulated powder diffractogram
Compound: Tm4Sb2H
Radiation: Cu Kα
Structure: a PBE-relaxed structure
Peak positions follow from Bragg's law for the DFT cell and can differ from measured ones.

Structure:
a b c (Å): 4.422 4.422 16.479
angles (deg): 90.00 90.00 90.00
Positions (direct):
1 Tm 0.000 0.000 0.176
2 Tm 0.000 0.000 0.824
3 Tm 0.000 0.500 0.000
4 Tm 0.000 0.500 0.500
5 Tm 0.500 0.000 0.000
6 Tm 0.500 0.000 0.500
7 Tm 0.500 0.500 0.324
8 Tm 0.500 0.500 0.676
9 Sb 0.000 0.000 0.362
10 Sb 0.000 0.000 0.638
11 Sb 0.500 0.500 0.138
12 Sb 0.500 0.500 0.862
13 H 0.000 0.000 0.000
14 H 0.500 0.500 0.500

Main lines, by intensity (10 to 80 degrees two-theta):
d (Å)  intensity
2.924  100
2.491  85
2.211  58
1.722  50
2.747  37
2.643  26
1.324  23
1.379  21
1.563  20
1.359  17

=====

Simulated powder diffractogram
Compound: Tm2Sb2H3
Radiation: Cu Kα
Structure: a PBE-relaxed structure
Peak positions follow from Bragg's law for the DFT cell and can differ from measured ones.

Structure:
a b c (Å): 11.573 3.506 7.040
angles (deg): 90.00 123.74 90.00
Positions (direct):
1 Tm 0.149 0.000 0.245
2 Tm 0.351 0.500 0.755
3 Tm 0.649 0.500 0.245
4 Tm 0.851 0.000 0.755
5 Sb 0.130 0.000 0.762
6 Sb 0.370 0.500 0.238
7 Sb 0.630 0.500 0.762
8 Sb 0.870 0.000 0.238
9 H 0.000 0.500 0.000
10 H 0.170 0.500 0.426
11 H 0.330 0.000 0.574
12 H 0.500 0.000 0.000
13 H 0.670 0.000 0.426
14 H 0.830 0.500 0.574

Main lines, by intensity (10 to 80 degrees two-theta):
d (Å)  intensity
3.295  100
2.927  91
2.367  78
2.377  74
2.755  62
2.430  47
2.406  44
1.504  25
2.007  24
1.555  23

=====

Simulated powder diffractogram
Compound: Y2SbH3
Radiation: Cu Kα
Structure: a PBE-relaxed structure
Peak positions follow from Bragg's law for the DFT cell and can differ from measured ones.

Structure:
a b c (Å): 7.605 7.605 7.153
angles (deg): 113.79 113.79 29.67
Positions (direct):
1 Y 0.030 0.030 0.269
2 Y 0.300 0.300 0.318
3 Y 0.700 0.700 0.682
4 Y 0.970 0.970 0.731
5 Sb 0.367 0.367 0.954
6 Sb 0.633 0.633 0.046
7 H 0.095 0.095 0.625
8 H 0.193 0.193 0.475
9 H 0.437 0.437 0.589
10 H 0.563 0.563 0.411
11 H 0.807 0.807 0.525
12 H 0.905 0.905 0.375

Main lines, by intensity (10 to 80 degrees two-theta):
d (Å)  intensity
2.932  100
2.608  78
3.051  70
3.089  41
2.567  41
2.347  34
1.551  31
1.947  23
1.641  22
6.500  21

=====

Simulated powder diffractogram
Compound: Y4SbH
Radiation: Cu Kα
Structure: a PBE-relaxed structure
Peak positions follow from Bragg's law for the DFT cell and can differ from measured ones.

Structure:
a b c (Å): 6.010 6.040 8.939
angles (deg): 70.60 83.73 89.94
Positions (direct):
1 Y 0.212 0.450 0.398
2 Y 0.244 0.103 0.188
3 Y 0.256 0.298 0.810
4 Y 0.287 0.850 0.600
5 Y 0.713 0.150 0.400
6 Y 0.744 0.702 0.190
7 Y 0.756 0.897 0.812
8 Y 0.788 0.550 0.602
9 Sb 0.250 0.719 0.999
10 Sb 0.750 0.281 0.001
11 H 0.000 0.000 0.500
12 H 0.500 0.500 0.500

Main lines, by intensity (10 to 80 degrees two-theta):
d (Å)  intensity
2.985  100
2.695  73
2.747  69
2.736  67
2.536  58
2.525  56
3.020  48
2.123  33
1.730  30
2.921  23

=====

Simulated powder diffractogram
Compound: Zn2SbH
Radiation: Cu Kα
Structure: a PBE-relaxed structure
Peak positions follow from Bragg's law for the DFT cell and can differ from measured ones.

Structure:
a b c (Å): 4.257 4.257 17.420
angles (deg): 90.00 90.00 120.00
Positions (direct):
1 Zn 0.000 0.000 0.096
2 Zn 0.000 0.000 0.904
3 Zn 0.333 0.667 0.570
4 Zn 0.333 0.667 0.763
5 Zn 0.667 0.333 0.237
6 Zn 0.667 0.333 0.430
7 Sb 0.000 0.000 0.500
8 Sb 0.333 0.667 0.167
9 Sb 0.667 0.333 0.833
10 H 0.000 0.000 0.000
11 H 0.333 0.667 0.667
12 H 0.667 0.333 0.333

Main lines, by intensity (10 to 80 degrees two-theta):
d (Å)  intensity
2.532  100
3.395  96
5.807  92
2.129  62
1.999  34
2.063  27
1.629  25
1.294  23
1.575  22
1.804  15